This entry pairs a crystal structure of Tl3Zn5 with its computed XRD peak list. Radiation: a wavelength of 1.5418 Å. Structure: DFT lattice parameters and positions (PBE).
No peak broadening, texture or thermal motion is included.

Cell: 7.9920 7.9920 7.2322 Å, 91.55 91.55 129.09°
Sites, in units of the cell vectors:
Tl 0.0000 0.0000 0.0000
Tl 0.2529 0.7531 0.5325
Tl 0.5060 0.5060 0.0642
Tl 0.5100 0.9975 0.0321
Tl 0.7531 0.2529 0.5325
Tl 0.9975 0.5100 0.0321
Zn 0.0247 0.0247 0.5883
Zn 0.0917 0.2970 0.3198
Zn 0.2096 0.4146 0.7445
Zn 0.2970 0.0917 0.3198
Zn 0.4146 0.2096 0.7445
Zn 0.4815 0.4815 0.4757
Zn 0.6185 0.8106 0.7233
Zn 0.6954 0.8876 0.3405
Zn 0.8106 0.6185 0.7233
Zn 0.8876 0.6954 0.3405

The 8 most intense peaks (10 to 80 degrees two-theta), in order of rising 2θ:
| 2θ/deg | d (Å) | I/Imax |
| --- | --- | --- |
| 24.7 | 3.608 | 64 |
| 27.6 | 3.228 | 25 |
| 30.8 | 2.906 | 64 |
| 32.1 | 2.789 | 58 |
| 35.2 | 2.552 | 100 |
| 36.1 | 2.485 | 29 |
| 37.3 | 2.408 | 26 |
| 50.6 | 1.804 | 26 |